(1)
TbHg6: calculated powder diffraction line list (Cu Kα), based on the PBE geometry in Alexandria.
No peak broadening, texture or thermal motion is included.

Structural model:
a = 5.0698 Å, b = 5.0698 Å, c = 7.0807 Å
α = 90.00°, β = 90.00°, γ = 90.00°
Space group P4/mmm (No. 123)
Symmetry-distinct sites (fractional):
Tb (0.0000, 0.0000, 0.0000) [1 per cell]
Hg (0.0000, 0.0000, 0.5000) [1 per cell]
Hg (0.0000, 0.5000, 0.2724) [4 per cell]
Hg (0.5000, 0.5000, 0.0000) [1 per cell]

Largest 10 diffraction maxima, low angle first, 15° ≤ 2θ ≤ 90°:
| Position (°2θ) | Rel. int. |
| --- | --- |
| 21.6 | 11 |
| 27.9 | 8 |
| 35.4 | 53 |
| 35.6 | 100 |
| 50.9 | 19 |
| 63.7 | 38 |
| 64.2 | 16 |
| 75.5 | 10 |
| 85.7 | 9 |
| 85.8 | 9 |

---

(2)
Rb2Be2PbO6: calculated powder diffraction line list (Cu Kα), based on the PBE geometry in Alexandria.
No peak broadening, texture or thermal motion is included.

Structural model:
a = 5.6855 Å, b = 5.6855 Å, c = 6.7934 Å
α = 90.00°, β = 90.00°, γ = 120.00°
Space group P-3m1 (No. 164)
Symmetry-distinct sites (fractional):
Rb (0.3333, 0.6667, 0.3501) [2 per cell]
Be (0.3333, 0.6667, 0.8342) [2 per cell]
Pb (0.0000, 0.0000, 0.0000) [1 per cell]
O (0.1795, 0.3590, 0.8084) [6 per cell]

Largest 10 diffraction maxima, low angle first, 15° ≤ 2θ ≤ 90°:
| Position (°2θ) | Rel. int. |
| --- | --- |
| 18.0 | 15 |
| 22.3 | 100 |
| 31.5 | 39 |
| 32.0 | 48 |
| 38.9 | 31 |
| 45.5 | 18 |
| 50.9 | 25 |
| 51.6 | 22 |
| 56.4 | 17 |
| 57.4 | 10 |

---

(3)
Mg2GaCu5Ni2: calculated powder diffraction line list (Cu Kα), based on the PBE geometry in Alexandria.
No peak broadening, texture or thermal motion is included.

Structural model:
a = 8.4493 Å, b = 8.4493 Å, c = 3.8510 Å
α = 90.00°, β = 90.00°, γ = 90.00°
Space group P4/mbm (No. 127)
Symmetry-distinct sites (fractional):
Mg (0.1736, 0.3264, 0.0000) [4 per cell]
Ga (0.0000, 0.0000, 0.0000) [2 per cell]
Cu (0.0000, 0.5000, 0.5000) [2 per cell]
Cu (0.0727, 0.7974, 0.5000) [8 per cell]
Ni (0.1203, 0.6203, 0.0000) [4 per cell]

Largest 10 diffraction maxima, low angle first, 15° ≤ 2θ ≤ 90°:
| Position (°2θ) | Rel. int. |
| --- | --- |
| 21.0 | 12 |
| 23.5 | 33 |
| 38.1 | 16 |
| 41.1 | 100 |
| 44.2 | 23 |
| 45.3 | 47 |
| 47.2 | 30 |
| 48.2 | 13 |
| 66.6 | 12 |
| 83.6 | 12 |